Starting from a structure optimized by DFT (GGA-PBE), the PXRD pattern of KBiCl14 was calculated for Cu Kα (λ = 1.5418 Å).
Lines closer than 0.1° are merged.

The 10 most intense peaks (10 to 80 degrees two-theta), by intensity:
7.350 Å, 2θ = 12.04°, I 100.0, hkl 1 0 0
7.939 Å, 2θ = 11.14°, I 67.8, hkl 0 1 0
3.456 Å, 2θ = 25.78°, I 64.0, hkl 1 1 1
8.419 Å, 2θ = 10.51°, I 62.5, hkl 0 0 1
4.148 Å, 2θ = 21.42°, I 47.9, hkl 2 -1 0
5.166 Å, 2θ = 17.16°, I 45.4, hkl 0 1 1
2.726 Å, 2θ = 32.85°, I 37.8, hkl 0 3 -1
3.540 Å, 2θ = 25.16°, I 36.3, hkl -2 2 1
6.852 Å, 2θ = 12.92°, I 35.2, hkl 1 0 -1
6.669 Å, 2θ = 13.28°, I 32.2, hkl 0 1 -1

Structure:
a = 8.628 Å, b = 9.033 Å, c = 9.044 Å
α = 95.93°, β = 105.96°, γ = 114.78°
Space group P1 (No. 1)
Symmetry-distinct sites (fractional):
K: 0.000 0.000 0.000 x1
Bi: 0.322 0.619 0.912 x1
Cl: 0.121 0.702 0.031 x1
Cl: 0.122 0.276 0.809 x1
Cl: 0.165 0.481 0.226 x1
Cl: 0.192 0.657 0.648 x1
Cl: 0.206 0.314 0.345 x1
Cl: 0.426 0.962 0.530 x1
Cl: 0.434 0.320 0.027 x1
Cl: 0.530 0.133 0.409 x1
Cl: 0.594 0.520 0.790 x1
Cl: 0.608 0.934 0.998 x1
Cl: 0.675 0.369 0.202 x1
Cl: 0.709 0.663 0.649 x1
Cl: 0.767 0.876 0.264 x1
Cl: 0.909 0.835 0.471 x1